For MgMn6O4F8, a DFT-relaxed cell (PBE+U, Alexandria) gives the theoretical X-ray powder pattern in this record (Cu Kα (weighted mean of Kα1 and Kα2)).

Largest 6 diffraction maxima, in order of rising 2θ, 10 to 90 degrees two-theta:
- d = 3.721 Å, 23.91 deg, rel. 69, hkl 1 1 1
- d = 3.277 Å, 27.21 deg, rel. 100, hkl -1 1 1
- d = 2.933 Å, 30.47 deg, rel. 33, hkl 1 1 2
- d = 2.781 Å, 32.19 deg, rel. 60, hkl 1 -1 2
- d = 2.762 Å, 32.42 deg, rel. 37, hkl 1 1 -2
- d = 2.686 Å, 33.36 deg, rel. 37, hkl 0 2 -1

Structure:
a b c (Å): 5.3121 5.7381 7.9541
angles (deg): 89.62 85.46 84.22
Fractional coordinates of all 19 atoms:
1 Mg 0.0000 0.0000 0.0000
2 Mn 0.0018 0.4354 0.1776
3 Mn 0.4340 0.5631 0.5261
4 Mn 0.4954 0.8765 0.2054
5 Mn 0.5340 0.1195 0.8279
6 Mn 0.7937 0.5638 0.8064
7 Mn 0.9894 0.0697 0.5193
8 O 0.2758 0.8293 0.4274
9 O 0.6849 0.3371 0.6401
10 O 0.7056 0.8267 0.9630
11 O 0.8074 0.3296 0.9703
12 F 0.1708 0.0320 0.7672
13 F 0.1934 0.5438 0.7257
14 F 0.1943 0.3404 0.4005
15 F 0.1950 0.7122 0.0812
16 F 0.2934 0.1650 0.0728
17 F 0.6807 0.5650 0.3223
18 F 0.7188 0.8152 0.6322
19 F 0.8371 0.0615 0.2588